For CaCeSi4, DFT lattice parameters and positions (GGA-PBE) gives the simulated PXRD pattern in this record (a wavelength of 1.5418 Å).
Peak positions follow from Bragg's law for the DFT cell and can differ from measured ones.

```
data_CaCeSi4
_symmetry_space_group_name_H-M 'P 1'
_symmetry_Int_Tables_number 1
_cell_length_a 7.405
_cell_length_b 7.405
_cell_length_c 7.405
_cell_angle_alpha 146.72
_cell_angle_beta 146.72
_cell_angle_gamma 47.78
loop_
_symmetry_equiv_pos_as_xyz
'x,y,z'
loop_
_atom_site_label
_atom_site_fract_x
_atom_site_fract_y
_atom_site_fract_z
_atom_site_occupancy
Ca1 0.000 0.000 0.000 1
Ce1 0.750 0.250 0.500 1
Si1 0.166 0.666 0.500 1
Si2 0.334 0.834 0.500 1
Si3 0.413 0.413 0.000 1
Si4 0.587 0.587 0.000 1
```

Largest 12 diffraction maxima, low angle first, 15° ≤ 2θ ≤ 90°:
- 2θ 21.96, I = 37
- 2θ 26.33, I = 11
- 2θ 28.88, I = 53
- 2θ 32.65, I = 100
- 2θ 39.48, I = 47
- 2θ 42.63, I = 37
- 2θ 51.95, I = 20
- 2θ 52.31, I = 20
- 2θ 59.49, I = 28
- 2θ 61.87, I = 12
- 2θ 69.39, I = 17
- 2θ 71.74, I = 19

***

For NaAgTe2, DFT lattice parameters and positions (GGA-PBE) gives the simulated PXRD pattern in this record (a wavelength of 1.5418 Å).
Peak positions follow from Bragg's law for the DFT cell and can differ from measured ones.

```
data_NaAgTe2
_symmetry_space_group_name_H-M 'P 1'
_symmetry_Int_Tables_number 1
_cell_length_a 6.759
_cell_length_b 6.759
_cell_length_c 6.759
_cell_angle_alpha 102.10
_cell_angle_beta 102.10
_cell_angle_gamma 125.50
loop_
_symmetry_equiv_pos_as_xyz
'x,y,z'
loop_
_atom_site_label
_atom_site_fract_x
_atom_site_fract_y
_atom_site_fract_z
_atom_site_occupancy
Na1 0.000 0.000 0.000 1
Na2 0.750 0.250 0.500 1
Ag1 0.250 0.750 0.500 1
Ag2 0.500 0.500 0.000 1
Te1 0.172 0.625 0.047 1
Te2 0.375 0.422 0.547 1
Te3 0.578 0.125 0.953 1
Te4 0.875 0.828 0.453 1
```

Largest 12 diffraction maxima, low angle first, 15° ≤ 2θ ≤ 90°:
- 2θ 17.73, I = 58
- 2θ 20.91, I = 16
- 2θ 27.54, I = 22
- 2θ 29.74, I = 100
- 2θ 32.55, I = 100
- 2θ 40.98, I = 42
- 2θ 42.55, I = 30
- 2θ 44.66, I = 63
- 2θ 46.44, I = 22
- 2θ 56.12, I = 17
- 2θ 64.05, I = 24
- 2θ 79.96, I = 15

***

For CuTe, DFT lattice parameters and positions (GGA-PBE) gives the simulated PXRD pattern in this record (a wavelength of 1.5418 Å).
Peak positions follow from Bragg's law for the DFT cell and can differ from measured ones.

```
data_CuTe
_symmetry_space_group_name_H-M 'P 1'
_symmetry_Int_Tables_number 1
_cell_length_a 3.970
_cell_length_b 12.347
_cell_length_c 5.888
_cell_angle_alpha 90.00
_cell_angle_beta 90.00
_cell_angle_gamma 90.00
loop_
_symmetry_equiv_pos_as_xyz
'x,y,z'
loop_
_atom_site_label
_atom_site_fract_x
_atom_site_fract_y
_atom_site_fract_z
_atom_site_occupancy
Cu1 0.250 0.071 0.023 1
Cu2 0.250 0.429 0.023 1
Cu3 0.250 0.750 0.471 1
Cu4 0.750 0.250 0.529 1
Cu5 0.750 0.571 0.977 1
Cu6 0.750 0.929 0.977 1
Te1 0.250 0.250 0.802 1
Te2 0.250 0.572 0.694 1
Te3 0.250 0.928 0.694 1
Te4 0.750 0.072 0.306 1
Te5 0.750 0.428 0.306 1
Te6 0.750 0.750 0.198 1
```

Largest 12 diffraction maxima, low angle first, 15° ≤ 2θ ≤ 90°:
- 2θ 26.42, I = 100
- 2θ 27.09, I = 67
- 2θ 28.05, I = 51
- 2θ 31.28, I = 17
- 2θ 40.86, I = 22
- 2θ 44.00, I = 26
- 2θ 44.17, I = 79
- 2θ 45.70, I = 26
- 2θ 45.94, I = 24
- 2θ 48.68, I = 18
- 2θ 52.45, I = 20
- 2θ 53.57, I = 29

***

For Tb4Dy2YTm2, DFT lattice parameters and positions (GGA-PBE) gives the simulated PXRD pattern in this record (a wavelength of 1.5418 Å).
Peak positions follow from Bragg's law for the DFT cell and can differ from measured ones.

```
data_Tb4Dy2YTm2
_symmetry_space_group_name_H-M 'P 1'
_symmetry_Int_Tables_number 1
_cell_length_a 9.461
_cell_length_b 9.461
_cell_length_c 9.487
_cell_angle_alpha 115.27
_cell_angle_beta 115.27
_cell_angle_gamma 21.80
loop_
_symmetry_equiv_pos_as_xyz
'x,y,z'
loop_
_atom_site_label
_atom_site_fract_x
_atom_site_fract_y
_atom_site_fract_z
_atom_site_occupancy
Tb1 0.019 0.019 0.335 1
Tb2 0.315 0.315 0.667 1
Tb3 0.685 0.685 0.333 1
Tb4 0.981 0.981 0.665 1
Dy1 0.351 0.351 0.331 1
Dy2 0.649 0.649 0.669 1
Y1 0.500 0.500 0.000 1
Tm1 0.167 0.167 0.000 1
Tm2 0.833 0.833 0.000 1
```

Largest 12 diffraction maxima, low angle first, 15° ≤ 2θ ≤ 90°:
- 2θ 29.04, I = 34
- 2θ 29.67, I = 20
- 2θ 31.41, I = 50
- 2θ 32.10, I = 100
- 2θ 33.81, I = 87
- 2θ 51.07, I = 39
- 2θ 55.23, I = 22
- 2θ 58.57, I = 18
- 2θ 61.20, I = 45
- 2θ 61.61, I = 15
- 2θ 62.66, I = 15
- 2θ 87.59, I = 18

***

For TaNb14Ge, DFT lattice parameters and positions (GGA-PBE) gives the simulated PXRD pattern in this record (a wavelength of 1.5418 Å).
Peak positions follow from Bragg's law for the DFT cell and can differ from measured ones.

```
data_TaNb14Ge
_symmetry_space_group_name_H-M 'P 1'
_symmetry_Int_Tables_number 1
_cell_length_a 6.622
_cell_length_b 6.622
_cell_length_c 6.626
_cell_angle_alpha 90.00
_cell_angle_beta 90.00
_cell_angle_gamma 90.00
loop_
_symmetry_equiv_pos_as_xyz
'x,y,z'
loop_
_atom_site_label
_atom_site_fract_x
_atom_site_fract_y
_atom_site_fract_z
_atom_site_occupancy
Ta1 0.000 0.000 0.000 1
Nb1 0.000 0.000 0.500 1
Nb2 0.000 0.500 0.000 1
Nb3 0.000 0.500 0.500 1
Nb4 0.249 0.249 0.251 1
Nb5 0.249 0.249 0.749 1
Nb6 0.249 0.751 0.251 1
Nb7 0.249 0.751 0.749 1
Nb8 0.500 0.000 0.000 1
Nb9 0.500 0.000 0.500 1
Nb10 0.500 0.500 0.500 1
Nb11 0.751 0.249 0.251 1
Nb12 0.751 0.249 0.749 1
Nb13 0.751 0.751 0.251 1
Nb14 0.751 0.751 0.749 1
Ge1 0.500 0.500 0.000 1
```

Largest 9 diffraction maxima, low angle first, 15° ≤ 2θ ≤ 90°:
- 2θ 18.95, I = 2
- 2θ 30.17, I = 1
- 2θ 33.13, I = 1
- 2θ 38.44, I = 100
- 2θ 40.87, I = 1
- 2θ 51.63, I = 1
- 2θ 55.49, I = 17
- 2θ 69.53, I = 34
- 2θ 82.36, I = 10

***

For YMg6CdO8, DFT lattice parameters and positions (GGA-PBE) gives the simulated PXRD pattern in this record (a wavelength of 1.5418 Å).
Peak positions follow from Bragg's law for the DFT cell and can differ from measured ones.

```
data_YMg6CdO8
_symmetry_space_group_name_H-M 'P 1'
_symmetry_Int_Tables_number 1
_cell_length_a 4.502
_cell_length_b 4.502
_cell_length_c 9.163
_cell_angle_alpha 90.00
_cell_angle_beta 90.00
_cell_angle_gamma 90.00
loop_
_symmetry_equiv_pos_as_xyz
'x,y,z'
loop_
_atom_site_label
_atom_site_fract_x
_atom_site_fract_y
_atom_site_fract_z
_atom_site_occupancy
Y1 0.000 0.000 0.000 1
Mg1 0.000 0.500 0.264 1
Mg2 0.000 0.500 0.736 1
Mg3 0.500 0.000 0.264 1
Mg4 0.500 0.000 0.736 1
Mg5 0.500 0.500 0.000 1
Mg6 0.500 0.500 0.500 1
Cd1 0.000 0.000 0.500 1
O1 0.000 0.000 0.242 1
O2 0.000 0.000 0.758 1
O3 0.000 0.500 0.000 1
O4 0.000 0.500 0.500 1
O5 0.500 0.000 0.000 1
O6 0.500 0.000 0.500 1
O7 0.500 0.500 0.252 1
O8 0.500 0.500 0.748 1
```

Largest 12 diffraction maxima, low angle first, 15° ≤ 2θ ≤ 90°:
- 2θ 19.37, I = 33
- 2θ 19.72, I = 62
- 2θ 27.78, I = 54
- 2θ 28.03, I = 26
- 2θ 34.30, I = 65
- 2θ 39.33, I = 51
- 2θ 40.06, I = 100
- 2θ 49.45, I = 21
- 2θ 57.40, I = 60
- 2θ 57.95, I = 30
- 2θ 69.10, I = 21
- 2θ 72.29, I = 28

***

- What is the formula in the third record?
  CuTe